This entry pairs a crystal structure of BaZr3Tl2O8 with its theoretical X-ray diffraction stick pattern. Radiation: λ = 1.5418 Å (Cu Kα). Structure: a cell relaxed with PBE.
Intensities are scaled so that the largest is 100.

```
data_BaZr3Tl2O8
_chemical_formula_sum 'Ba3 Zr9 Tl6 O24'
_symmetry_space_group_name_H-M 'R 3 m'
_symmetry_Int_Tables_number 160
_symmetry_space_group_name_Hall 'R 3 -2"'
_cell_length_a 6.5958
_cell_length_b 6.5958
_cell_length_c 20.1407
_cell_angle_alpha 90.00
_cell_angle_beta 90.00
_cell_angle_gamma 120.00
loop_
_atom_site_label
_atom_site_type_symbol
_atom_site_fract_x
_atom_site_fract_y
_atom_site_fract_z
Ba1 Ba 0.0000 0.0000 0.0000
Zr1 Zr 0.0006 0.5003 0.8744
Tl1 Tl 0.0000 0.0000 0.3843
Tl2 Tl 0.0000 0.0000 0.7558
O1 O 0.0000 0.0000 0.1505
O2 O 0.0000 0.0000 0.5929
O3 O 0.0331 0.5166 0.1523
O4 O 0.1822 0.3644 0.9276
```

Largest 10 diffraction maxima, by angle, 2θ = 5–70°:
(1 0 4), 2θ 23.6, I = 17; (0 1 5), 2θ 27.1, I = 100; (1 1 3), 2θ 30.2, I = 84; (0 2 1), 2θ 31.6, I = 13; (2 0 2), 2θ 32.6, I = 18; (0 1 8), 2θ 39.1, I = 16; (1 2 5), 2θ 47.8, I = 36; (2 0 8), 2θ 48.2, I = 28; (0 3 3), 2θ 49.8, I = 21; (2 2 0), 2θ 55.7, I = 23

---

This entry pairs a crystal structure of Ba3Tm4O9 with its theoretical X-ray diffraction stick pattern. Radiation: λ = 1.5418 Å (Cu Kα). Structure: a cell relaxed with PBE.
Intensities are scaled so that the largest is 100.

```
data_Ba3Tm4O9
_chemical_formula_sum 'Ba9 Tm12 O27'
_symmetry_space_group_name_H-M 'R 3'
_symmetry_Int_Tables_number 146
_symmetry_space_group_name_Hall 'R 3'
_cell_length_a 6.0750
_cell_length_b 6.0750
_cell_length_c 25.2157
_cell_angle_alpha 90.00
_cell_angle_beta 90.00
_cell_angle_gamma 120.00
loop_
_atom_site_label
_atom_site_type_symbol
_atom_site_fract_x
_atom_site_fract_y
_atom_site_fract_z
Ba1 Ba 0.0000 0.0000 0.0000
Ba2 Ba 0.0000 0.0000 0.1644
Ba3 Ba 0.0000 0.0000 0.5798
Tm1 Tm 0.0000 0.0000 0.3006
Tm2 Tm 0.0000 0.0000 0.4254
Tm3 Tm 0.0000 0.0000 0.7391
Tm4 Tm 0.0000 0.0000 0.8643
O1 O 0.0142 0.5592 0.0266
O2 O 0.1148 0.3342 0.9156
O3 O 0.1300 0.7840 0.4723
```

Largest 10 diffraction maxima, by angle, 2θ = 5–70°:
(0 1 2), 2θ 18.3, I = 15; (1 1 0), 2θ 29.4, I = 100; (1 0 7), 2θ 30.1, I = 79; (0 2 7), 2θ 42.6, I = 42; (2 -1 9), 2θ 44.0, I = 18; (3 0 0), 2θ 52.2, I = 22; (3 -1 7), 2θ 52.6, I = 35; (2 2 0), 2θ 61.0, I = 16; (2 0 14), 2θ 62.5, I = 12; (1 3 7), 2θ 69.5, I = 17

---

This entry pairs a crystal structure of BaTm2O4 with its theoretical X-ray diffraction stick pattern. Radiation: λ = 1.5418 Å (Cu Kα). Structure: a cell relaxed with PBE.
Intensities are scaled so that the largest is 100.

```
data_BaTm2O4
_chemical_formula_sum 'Ba12 Tm24 O48'
_symmetry_space_group_name_H-M 'C 1 2/c 1'
_symmetry_Int_Tables_number 15
_symmetry_space_group_name_Hall '-C 2yc'
_cell_length_a 10.352
_cell_length_b 6.124
_cell_length_c 21.774
_cell_angle_alpha 90.00
_cell_angle_beta 90.44
_cell_angle_gamma 90.00
loop_
_atom_site_label
_atom_site_type_symbol
_atom_site_fract_x
_atom_site_fract_y
_atom_site_fract_z
Ba1 Ba 0.000 0.111 0.250
Ba2 Ba 0.164 0.389 0.643
Tm1 Tm 0.005 0.119 0.429
Tm2 Tm 0.165 0.380 0.948
Tm3 Tm 0.169 0.388 0.806
O1 O 0.000 0.455 0.750
O2 O 0.000 0.500 0.000
O3 O 0.059 0.170 0.877
O4 O 0.121 0.352 0.381
O5 O 0.150 0.057 0.997
O6 O 0.169 0.176 0.125
O7 O 0.220 0.114 0.748
```

Largest 10 diffraction maxima, by angle, 2θ = 5–70°:
(1 1 -1), 2θ 17.3, I = 12; (1 1 5), 2θ 26.6, I = 13; (0 2 1), 2θ 29.5, I = 35; (3 1 0), 2θ 29.7, I = 46; (2 0 -6), 2θ 30.0, I = 100; (1 1 7), 2θ 33.5, I = 13; (2 2 -5), 2θ 39.9, I = 13; (4 0 6), 2θ 43.1, I = 15; (2 2 -7), 2θ 45.0, I = 19; (4 2 7), 2θ 55.2, I = 13

---

This entry pairs a crystal structure of Ba4Tm6O13 with its theoretical X-ray diffraction stick pattern. Radiation: λ = 1.5418 Å (Cu Kα). Structure: a cell relaxed with PBE.
Intensities are scaled so that the largest is 100.

```
data_Ba4Tm6O13
_chemical_formula_sum 'Ba16 Tm24 O52'
_symmetry_space_group_name_H-M 'I b a 2'
_symmetry_Int_Tables_number 45
_symmetry_space_group_name_Hall 'I 2 -2c'
_cell_length_a 12.343
_cell_length_b 21.188
_cell_length_c 6.058
_cell_angle_alpha 90.00
_cell_angle_beta 90.00
_cell_angle_gamma 90.00
loop_
_atom_site_label
_atom_site_type_symbol
_atom_site_fract_x
_atom_site_fract_y
_atom_site_fract_z
Ba1 Ba 0.120 0.166 0.000
Ba2 Ba 0.144 0.341 0.005
Tm1 Tm 0.103 0.050 0.512
Tm2 Tm 0.123 0.259 0.502
Tm3 Tm 0.129 0.465 0.580
O1 O 0.000 0.500 0.319
O2 O 0.004 0.265 0.761
O3 O 0.067 0.049 0.865
O4 O 0.116 0.149 0.481
O5 O 0.146 0.369 0.508
O6 O 0.226 0.468 0.892
O7 O 0.249 0.246 0.752
```

Largest 10 diffraction maxima, by angle, 2θ = 5–70°:
(0 4 0), 2θ 16.7, I = 7; (4 0 0), 2θ 28.9, I = 23; (0 0 2), 2θ 29.5, I = 100; (4 0 2), 2θ 41.8, I = 19; (0 10 0), 2θ 42.7, I = 9; (2 9 1), 2θ 43.8, I = 6; (6 5 1), 2θ 51.6, I = 14; (2 5 3), 2θ 52.3, I = 18; (0 10 2), 2θ 52.7, I = 6; (0 0 4), 2θ 61.2, I = 10

---

This entry pairs a crystal structure of Ba2Tm2Zn8O13 with its theoretical X-ray diffraction stick pattern. Radiation: λ = 1.5418 Å (Cu Kα). Structure: a cell relaxed with PBE.
Intensities are scaled so that the largest is 100.

```
data_Ba2Tm2Zn8O13
_chemical_formula_sum 'Ba4 Tm4 Zn16 O26'
_symmetry_space_group_name_H-M 'C 1 m 1'
_symmetry_Int_Tables_number 8
_symmetry_space_group_name_Hall 'C -2y'
_cell_length_a 11.112
_cell_length_b 6.425
_cell_length_c 10.256
_cell_angle_alpha 90.00
_cell_angle_beta 90.57
_cell_angle_gamma 90.00
loop_
_atom_site_label
_atom_site_type_symbol
_atom_site_fract_x
_atom_site_fract_y
_atom_site_fract_z
Ba1 Ba 0.000 0.000 0.000
Ba2 Ba 0.171 0.500 0.501
Tm1 Tm 0.005 0.000 0.372
Tm2 Tm 0.198 0.500 0.860
Zn1 Zn 0.164 0.000 0.691
Zn2 Zn 0.250 0.262 0.190
Zn3 Zn 0.312 0.000 0.932
Zn4 Zn 0.343 0.000 0.446
Zn5 Zn 0.432 0.250 0.683
Zn6 Zn 0.499 0.000 0.215
O1 O 0.072 0.233 0.212
O2 O 0.086 0.244 0.784
O3 O 0.174 0.000 0.499
O4 O 0.288 0.273 0.998
O5 O 0.315 0.500 0.288
O6 O 0.328 0.000 0.247
O7 O 0.329 0.500 0.718
O8 O 0.341 0.000 0.746
O9 O 0.453 0.233 0.494
```

Largest 10 diffraction maxima, by angle, 2θ = 5–70°:
(3 1 0), 2θ 27.8, I = 78; (2 0 -3), 2θ 30.6, I = 72; (1 1 3), 2θ 30.8, I = 67; (3 1 -2), 2θ 32.8, I = 34; (0 2 2), 2θ 32.9, I = 47; (3 1 2), 2θ 33.1, I = 55; (2 2 -1), 2θ 33.4, I = 100; (5 1 -3), 2θ 50.8, I = 23; (1 3 3), 2θ 51.0, I = 20; (0 4 0), 2θ 57.4, I = 49

---

This entry pairs a crystal structure of Ba2U2O7 with its theoretical X-ray diffraction stick pattern. Radiation: λ = 1.5418 Å (Cu Kα). Structure: a cell relaxed with PBE.
Intensities are scaled so that the largest is 100.

```
data_Ba2U2O7
_chemical_formula_sum 'Ba8 U8 O28'
_symmetry_space_group_name_H-M 'I m m a'
_symmetry_Int_Tables_number 74
_symmetry_space_group_name_Hall '-I 2b 2'
_cell_length_a 8.226
_cell_length_b 11.420
_cell_length_c 8.287
_cell_angle_alpha 90.00
_cell_angle_beta 90.00
_cell_angle_gamma 90.00
loop_
_atom_site_label
_atom_site_type_symbol
_atom_site_fract_x
_atom_site_fract_y
_atom_site_fract_z
Ba1 Ba 0.000 0.000 0.000
Ba2 Ba 0.250 0.250 0.250
U1 U 0.000 0.000 0.500
U2 U 0.250 0.250 0.750
O1 O 0.000 0.093 0.286
O2 O 0.000 0.250 0.838
O3 O 0.204 0.119 0.569
```

Largest 10 diffraction maxima, by angle, 2θ = 5–70°:
(0 2 2), 2θ 26.6, I = 100; (2 2 0), 2θ 26.7, I = 97; (2 0 2), 2θ 30.6, I = 56; (0 4 0), 2θ 31.3, I = 27; (4 0 0), 2θ 44.0, I = 16; (2 4 2), 2θ 44.4, I = 58; (2 2 4), 2θ 52.0, I = 34; (4 2 2), 2θ 52.2, I = 32; (0 6 2), 2θ 53.0, I = 30; (0 4 4), 2θ 54.7, I = 13

---

This entry pairs a crystal structure of Ba4U3O10 with its theoretical X-ray diffraction stick pattern. Radiation: λ = 1.5418 Å (Cu Kα). Structure: a cell relaxed with PBE.
Intensities are scaled so that the largest is 100.

```
data_Ba4U3O10
_chemical_formula_sum 'Ba8 U6 O20'
_symmetry_space_group_name_H-M 'I 4/m m m'
_symmetry_Int_Tables_number 139
_symmetry_space_group_name_Hall '-I 4 2'
_cell_length_a 4.463
_cell_length_b 4.463
_cell_length_c 31.400
_cell_angle_alpha 90.00
_cell_angle_beta 90.00
_cell_angle_gamma 90.00
loop_
_atom_site_label
_atom_site_type_symbol
_atom_site_fract_x
_atom_site_fract_y
_atom_site_fract_z
Ba1 Ba 0.000 0.000 0.070
Ba2 Ba 0.000 0.000 0.205
U1 U 0.000 0.000 0.358
U2 U 0.000 0.000 0.500
O1 O 0.000 0.000 0.288
O2 O 0.000 0.000 0.429
O3 O 0.000 0.500 0.000
O4 O 0.000 0.500 0.141
```

Largest 10 diffraction maxima, by angle, 2θ = 5–70°:
(0 0 6), 2θ 16.9, I = 5; (1 0 1), 2θ 20.1, I = 6; (1 1 0), 2θ 28.2, I = 100; (0 0 14), 2θ 40.2, I = 8; (2 0 0), 2θ 40.4, I = 19; (1 1 14), 2θ 49.9, I = 13; (2 1 7), 2θ 50.0, I = 28; (2 0 14), 2θ 58.3, I = 11; (2 2 0), 2θ 58.5, I = 6; (3 1 0), 2θ 66.2, I = 13

---

This entry pairs a crystal structure of Ba3U4O12 with its theoretical X-ray diffraction stick pattern. Radiation: λ = 1.5418 Å (Cu Kα). Structure: a cell relaxed with PBE.
Intensities are scaled so that the largest is 100.

```
data_Ba3U4O12
_chemical_formula_sum 'Ba6 U8 O24'
_symmetry_space_group_name_H-M 'I m -3'
_symmetry_Int_Tables_number 204
_symmetry_space_group_name_Hall '-I 2 2 3'
_cell_length_a 8.773
_cell_length_b 8.773
_cell_length_c 8.773
_cell_angle_alpha 90.00
_cell_angle_beta 90.00
_cell_angle_gamma 90.00
loop_
_atom_site_label
_atom_site_type_symbol
_atom_site_fract_x
_atom_site_fract_y
_atom_site_fract_z
Ba1 Ba 0.000 0.000 0.500
U1 U 0.250 0.250 0.250
O1 O 0.000 0.278 0.242
```

Largest 10 diffraction maxima, by angle, 2θ = 5–70°:
(1 1 0), 2θ 14.3, I = 7; (2 0 0), 2θ 20.2, I = 25; (2 1 1), 2θ 24.9, I = 3; (2 2 0), 2θ 28.8, I = 100; (4 0 0), 2θ 41.2, I = 28; (4 0 2), 2θ 46.3, I = 12; (4 2 2), 2θ 51.0, I = 44; (4 4 0), 2θ 59.6, I = 18; (4 4 2), 2θ 63.6, I = 6; (6 0 2), 2θ 67.5, I = 19

---

This entry pairs a crystal structure of Ba3U6O20 with its theoretical X-ray diffraction stick pattern. Radiation: λ = 1.5418 Å (Cu Kα). Structure: a cell relaxed with PBE.
Intensities are scaled so that the largest is 100.

```
data_Ba3U6O20
_chemical_formula_sum 'Ba12 U24 O80'
_symmetry_space_group_name_H-M 'F m -3 m'
_symmetry_Int_Tables_number 225
_symmetry_space_group_name_Hall '-F 4 2 3'
_cell_length_a 11.537
_cell_length_b 11.537
_cell_length_c 11.537
_cell_angle_alpha 90.00
_cell_angle_beta 90.00
_cell_angle_gamma 90.00
loop_
_atom_site_label
_atom_site_type_symbol
_atom_site_fract_x
_atom_site_fract_y
_atom_site_fract_z
Ba1 Ba 0.000 0.000 0.000
Ba2 Ba 0.250 0.250 0.250
U1 U 0.000 0.000 0.268
O1 O 0.000 0.163 0.163
O2 O 0.111 0.111 0.389
```

Largest 10 diffraction maxima, by angle, 2θ = 5–70°:
(2 0 0), 2θ 15.4, I = 18; (2 2 2), 2θ 26.8, I = 100; (4 0 0), 2θ 31.0, I = 64; (3 3 1), 2θ 33.9, I = 11; (3 3 3), 2θ 40.6, I = 11; (4 4 0), 2θ 44.4, I = 58; (6 2 2), 2θ 52.6, I = 48; (4 4 4), 2θ 55.2, I = 18; (7 3 1), 2θ 61.8, I = 9; (8 0 0), 2θ 64.6, I = 9

---

This entry pairs a crystal structure of Ba4U3ZnO12 with its theoretical X-ray diffraction stick pattern. Radiation: λ = 1.5418 Å (Cu Kα). Structure: a cell relaxed with PBE.
Intensities are scaled so that the largest is 100.

```
data_Ba4U3ZnO12
_chemical_formula_sum 'Ba8 U6 Zn2 O24'
_symmetry_space_group_name_H-M 'I m -3 m'
_symmetry_Int_Tables_number 229
_symmetry_space_group_name_Hall '-I 4 2 3'
_cell_length_a 8.739
_cell_length_b 8.739
_cell_length_c 8.739
_cell_angle_alpha 90.00
_cell_angle_beta 90.00
_cell_angle_gamma 90.00
loop_
_atom_site_label
_atom_site_type_symbol
_atom_site_fract_x
_atom_site_fract_y
_atom_site_fract_z
Ba1 Ba 0.250 0.250 0.250
U1 U 0.000 0.000 0.500
Zn1 Zn 0.000 0.000 0.000
O1 O 0.000 0.000 0.257
O2 O 0.000 0.250 0.500
```

Largest 10 diffraction maxima, by angle, 2θ = 5–70°:
(1 1 0), 2θ 14.3, I = 8; (2 0 0), 2θ 20.3, I = 7; (2 1 1), 2θ 25.0, I = 5; (2 2 0), 2θ 28.9, I = 100; (3 2 1), 2θ 38.5, I = 3; (4 0 0), 2θ 41.3, I = 28; (4 2 0), 2θ 46.5, I = 3; (4 2 2), 2θ 51.2, I = 42; (4 4 0), 2θ 59.9, I = 18; (6 2 0), 2θ 67.8, I = 19